For CsNa2Ti, DFT lattice parameters and positions (PBE) gives the calculated powder diffractogram in this record (Cu Kα).
Neutral-atom scattering factors, no anomalous dispersion.

Top 10 peaks for 10° ≤ 2θ ≤ 90°, low angle first:
- 17.47°, d 5.077, I = 28, (1 1 1)
- 20.19°, d 4.397, I = 39, (2 0 0)
- 28.71°, d 3.109, I = 100, (2 2 0)
- 33.80°, d 2.652, I = 17, (3 1 1)
- 35.36°, d 2.539, I = 12, (2 2 2)
- 41.05°, d 2.199, I = 18, (4 0 0)
- 46.16°, d 1.966, I = 17, (4 2 0)
- 50.86°, d 1.795, I = 38, (4 2 2)
- 67.34°, d 1.391, I = 16, (6 2 0)
- 81.99°, d 1.175, I = 18, (6 4 2)

Crystal structure
abc: 8.794 8.794 8.794
angles: 90.00 90.00 90.00
Fractional coordinates of all 16 atoms:
Cs 0.000 0.000 0.000
Cs 0.000 0.500 0.500
Cs 0.500 0.000 0.500
Cs 0.500 0.500 0.000
Na 0.250 0.250 0.250
Na 0.250 0.250 0.750
Na 0.250 0.750 0.250
Na 0.250 0.750 0.750
Na 0.750 0.250 0.250
Na 0.750 0.250 0.750
Na 0.750 0.750 0.250
Na 0.750 0.750 0.750
Ti 0.000 0.000 0.500
Ti 0.000 0.500 0.000
Ti 0.500 0.000 0.000
Ti 0.500 0.500 0.500